La5Re3NiO16: simulated powder X-ray diffraction pattern (Cu Kα X-rays), based on the GGA+U geometry in Alexandria.

Top 12 peaks for 2θ = 10–90°, sorted by position:
| two_theta | d_spacing | I_rel |
| --- | --- | --- |
| 18.4 | 4.828 | 32.0 |
| 22.7 | 3.913 | 20.7 |
| 28.2 | 3.167 | 88.4 |
| 29.7 | 3.011 | 67.1 |
| 31.6 | 2.834 | 100.0 |
| 33.2 | 2.702 | 32.3 |
| 34.5 | 2.601 | 23.2 |
| 39.7 | 2.273 | 19.2 |
| 44.4 | 2.039 | 21.8 |
| 44.9 | 2.021 | 37.0 |
| 54.7 | 1.678 | 24.5 |
| 55.9 | 1.644 | 28.3 |

Structural model:
```
25
Lattice="5.677 0.000 0.000 -0.072 5.681 0.000 -0.614 -0.643 10.195" Properties=species:S:1:pos:R:3 pbc="T T T"
La 0.000 0.000 0.000
La -0.279 2.429 7.203
La 2.507 5.333 3.074
La 2.485 -0.295 7.121
La 5.271 2.609 2.992
Re -0.307 -0.321 5.097
Re 2.430 2.458 1.082
Re 2.563 2.580 9.113
Ni 2.496 2.519 5.097
O -0.019 -0.005 6.966
O 0.716 1.349 4.730
O 1.126 3.865 1.373
O 1.151 1.127 1.796
O 1.094 3.822 8.806
O 1.359 4.304 5.082
O 1.167 1.129 9.524
O 2.118 2.122 7.111
O 2.874 2.916 3.084
O 3.825 3.909 0.671
O 3.633 0.735 5.113
O 3.898 1.216 1.389
O 3.841 3.912 8.399
O 3.866 1.173 8.822
O 4.276 3.689 5.465
O 5.011 5.043 3.229
```